Simulated powder XRD pattern
Compound: Pr8Ga2Ag3
Radiation: CuKα
Structure: DFT lattice parameters and positions (GGA-PBE)
Intensities are scaled so that the largest is 100.

Peak list (6 most intense, 2θ = 10–90°, by angle)
index, 2θ (°), d [Å], I/Imax
2 0 1, 24.62, 3.617, 19
2 4 1, 34.11, 2.628, 100
0 0 2, 35.09, 2.557, 47
4 0 2, 50.48, 1.808, 18
0 8 2, 60.43, 1.532, 18
2 4 3, 62.38, 1.489, 17

Lattice parameters (Å, degrees): 10.242 15.307 5.108 90.00 90.00 90.00
Space group Cmmm (No. 65)
Symmetry-distinct sites (fractional):
Pr 0.000 0.123 0.000 (multiplicity 4)
Pr 0.000 0.365 0.000 (multiplicity 4)
Pr 0.245 0.129 0.500 (multiplicity 8)
Ga 0.000 0.248 0.500 (multiplicity 4)
Ag 0.000 0.500 0.500 (multiplicity 2)
Ag 0.242 0.500 0.000 (multiplicity 4)

Simulated powder XRD pattern
Compound: Pr5Ga4Ag
Radiation: CuKα
Structure: DFT lattice parameters and positions (GGA-PBE)
Intensities are scaled so that the largest is 100.

Peak list (6 most intense, 2θ = 10–90°, by angle)
index, 2θ (°), d [Å], I/Imax
1 0 5, 33.80, 2.652, 100
1 1 0, 34.19, 2.623, 49
2 0 0, 49.12, 1.855, 17
1 1 10, 60.21, 1.537, 18
2 1 5, 60.96, 1.520, 36
2 0 10, 71.09, 1.326, 11

Lattice parameters (Å, degrees): 3.709 3.709 18.969 90.00 90.00 90.00
Space group P4/mmm (No. 123)
Symmetry-distinct sites (fractional):
Pr 0.000 0.000 0.000 (multiplicity 1)
Pr 0.000 0.000 0.197 (multiplicity 2)
Pr 0.000 0.000 0.394 (multiplicity 2)
Ga 0.500 0.500 0.099 (multiplicity 2)
Ga 0.500 0.500 0.299 (multiplicity 2)
Ag 0.500 0.500 0.500 (multiplicity 1)

Simulated powder XRD pattern
Compound: PrGaAg3
Radiation: CuKα
Structure: DFT lattice parameters and positions (GGA-PBE)
Intensities are scaled so that the largest is 100.

Peak list (6 most intense, 2θ = 10–90°, by angle)
index, 2θ (°), d [Å], I/Imax
1 1 1, 30.69, 2.913, 38
2 0 -2, 33.24, 2.695, 100
2 2 -1, 42.32, 2.135, 46
1 1 -3, 43.38, 2.086, 29
0 0 4, 62.19, 1.493, 19
4 2 -3, 71.64, 1.317, 20

Lattice parameters (Å, degrees): 6.039 6.041 6.692 90.00 116.75 90.00
Space group Cm (No. 8)
Symmetry-distinct sites (fractional):
Pr 0.000 0.000 0.000 (multiplicity 2)
Ga 0.393 0.000 0.787 (multiplicity 2)
Ag 0.013 0.250 0.526 (multiplicity 4)
Ag 0.109 0.500 0.218 (multiplicity 2)

Simulated powder XRD pattern
Compound: Pr4Ga2Ag
Radiation: CuKα
Structure: DFT lattice parameters and positions (GGA-PBE)
Intensities are scaled so that the largest is 100.

Peak list (6 most intense, 2θ = 10–90°, by angle)
index, 2θ (°), d [Å], I/Imax
0 1 5, 25.69, 3.467, 71
1 0 7, 30.27, 2.953, 34
1 1 0, 34.87, 2.573, 100
1 0 10, 38.36, 2.346, 37
2 0 5, 43.81, 2.066, 17
3 0 0, 62.52, 1.486, 18

Lattice parameters (Å, degrees): 5.1461 5.1461 27.5980 90.00 90.00 120.00
Space group R-3m (No. 166, hexagonal axes)
Symmetry-distinct sites (fractional):
Pr 0.0000 0.0000 0.1217 (multiplicity 6)
Pr 0.0000 0.0000 0.2944 (multiplicity 6)
Ga 0.0000 0.0000 0.4064 (multiplicity 6)
Ag 0.0000 0.0000 0.5000 (multiplicity 3)

Simulated powder XRD pattern
Compound: Pr4TlGaAg2
Radiation: CuKα
Structure: DFT lattice parameters and positions (GGA-PBE)
Intensities are scaled so that the largest is 100.

Peak list (6 most intense, 2θ = 10–90°, by angle)
index, 2θ (°), d [Å], I/Imax
1 1 0, 33.23, 2.696, 100
2 0 8, 47.70, 1.907, 18
1 2 8, 59.36, 1.557, 26
3 0 0, 59.41, 1.556, 9
2 2 0, 69.81, 1.347, 6
3 1 8, 79.49, 1.206, 15

Lattice parameters (Å, degrees): 5.3890 5.3890 26.4541 90.00 90.00 120.00
Space group R-3m (No. 166, hexagonal axes)
Symmetry-distinct sites (fractional):
Pr 0.0000 0.0000 0.1202 (multiplicity 6)
Pr 0.0000 0.0000 0.3705 (multiplicity 6)
Tl 0.0000 0.0000 0.5000 (multiplicity 3)
Ga 0.0000 0.0000 0.0000 (multiplicity 3)
Ag 0.0000 0.0000 0.2458 (multiplicity 6)

Simulated powder XRD pattern
Compound: GaAgPt
Radiation: CuKα
Structure: DFT lattice parameters and positions (GGA-PBE)
Intensities are scaled so that the largest is 100.

Peak list (6 most intense, 2θ = 10–90°, by angle)
index, 2θ (°), d [Å], I/Imax
0 0 1, 18.07, 4.909, 30
0 1 0, 21.00, 4.230, 49
0 0 2, 36.61, 2.454, 56
1 1 1, 42.59, 2.123, 100
0 2 2, 57.52, 1.602, 30
1 1 3, 70.02, 1.344, 22

Lattice parameters (Å, degrees): 2.834 4.230 4.909 90.00 90.00 90.00
Space group Pmmm (No. 47)
Symmetry-distinct sites (fractional):
Ga 0.000 0.000 0.000 (multiplicity 1)
Ag 0.000 0.500 0.500 (multiplicity 1)
Pt 0.500 0.500 0.000 (multiplicity 1)

Simulated powder XRD pattern
Compound: GaAgPt
Radiation: CuKα
Structure: DFT lattice parameters and positions (GGA-PBE)
Intensities are scaled so that the largest is 100.

Peak list (6 most intense, 2θ = 10–90°, by angle)
index, 2θ (°), d [Å], I/Imax
1 0 0, 23.41, 3.800, 27
1 0 1, 38.54, 2.336, 100
1 1 0, 41.14, 2.194, 84
0 2 1, 57.64, 1.599, 31
2 1 1, 73.24, 1.292, 30
1 1 2, 77.82, 1.227, 25

Lattice parameters (Å, degrees): 4.3881 4.3881 2.9614 90.00 90.00 120.00
Space group P3m1 (No. 156)
Symmetry-distinct sites (fractional):
Ga 0.0000 0.0000 0.0000 (multiplicity 1)
Ag 0.3333 0.6667 0.5025 (multiplicity 1)
Pt 0.6667 0.3333 0.0027 (multiplicity 1)

Simulated powder XRD pattern
Compound: Pu2Ga5Ag3
Radiation: CuKα
Structure: DFT lattice parameters and positions (GGA-PBE)
Intensities are scaled so that the largest is 100.

Peak list (6 most intense, 2θ = 10–90°, by angle)
index, 2θ (°), d [Å], I/Imax
1 2 1, 21.92, 4.055, 26
0 4 0, 27.65, 3.226, 25
2 4 0, 32.57, 2.750, 62
3 2 1, 32.67, 2.741, 100
2 0 2, 34.40, 2.607, 63
0 4 2, 41.08, 2.197, 71

Lattice parameters (Å, degrees): 10.517 12.903 6.003 90.00 90.00 90.00
Space group Ibam (No. 72)
Symmetry-distinct sites (fractional):
Pu 0.231 0.132 0.000 (multiplicity 8)
Ga 0.000 0.000 0.250 (multiplicity 4)
Ga 0.000 0.288 0.250 (multiplicity 8)
Ga 0.163 0.391 0.000 (multiplicity 8)
Ag 0.000 0.500 0.250 (multiplicity 4)
Ag 0.101 0.144 0.500 (multiplicity 8)

Simulated powder XRD pattern
Compound: Pu2Ga3Ag
Radiation: CuKα
Structure: DFT lattice parameters and positions (GGA-PBE)
Intensities are scaled so that the largest is 100.

Peak list (6 most intense, 2θ = 10–90°, by angle)
index, 2θ (°), d [Å], I/Imax
1 0 1, 21.50, 4.133, 41
1 2 1, 36.36, 2.471, 100
2 0 0, 37.70, 2.386, 72
2 2 2, 53.35, 1.717, 23
2 2 4, 67.24, 1.392, 23
2 4 0, 73.10, 1.295, 21

Lattice parameters (Å, degrees): 4.780 6.164 8.251 90.00 90.00 90.00
Space group Imm2 (No. 44)
Symmetry-distinct sites (fractional):
Pu 0.000 0.247 0.000 (multiplicity 4)
Ga 0.000 0.000 0.335 (multiplicity 2)
Ga 0.000 0.000 0.664 (multiplicity 2)
Ga 0.000 0.500 0.669 (multiplicity 2)
Ag 0.000 0.500 0.332 (multiplicity 2)

Simulated powder XRD pattern
Compound: RbGaAg
Radiation: CuKα
Structure: DFT lattice parameters and positions (GGA-PBE)
Intensities are scaled so that the largest is 100.

Peak list (6 most intense, 2θ = 10–90°, by angle)
index, 2θ (°), d [Å], I/Imax
1 0 1, 27.68, 3.223, 100
0 0 2, 32.04, 2.793, 25
1 1 0, 39.56, 2.278, 43
2 0 1, 48.97, 1.860, 21
1 1 2, 51.79, 1.765, 37
3 0 2, 80.74, 1.190, 20

Lattice parameters (Å, degrees): 4.5557 4.5557 5.5865 90.00 90.00 120.00
Space group P-6m2 (No. 187)
Symmetry-distinct sites (fractional):
Rb 0.0000 0.0000 0.0000 (multiplicity 1)
Ga 0.6667 0.3333 0.5000 (multiplicity 1)
Ag 0.3333 0.6667 0.5000 (multiplicity 1)

Simulated powder XRD pattern
Compound: RbGaAgSn2
Radiation: CuKα
Structure: DFT lattice parameters and positions (GGA-PBE)
Intensities are scaled so that the largest is 100.

Peak list (6 most intense, 2θ = 10–90°, by angle)
index, 2θ (°), d [Å], I/Imax
1 0 3, 28.95, 3.085, 95
1 1 2, 29.86, 2.992, 100
2 0 0, 36.74, 2.446, 100
1 1 4, 39.92, 2.258, 76
1 0 5, 42.16, 2.143, 36
2 1 3, 47.44, 1.916, 49

Lattice parameters (Å, degrees): 4.892 4.892 11.922 90.00 90.00 90.00
Space group I-4m2 (No. 119)
Symmetry-distinct sites (fractional):
Rb 0.000 0.000 0.000 (multiplicity 2)
Ga 0.000 0.500 0.250 (multiplicity 2)
Ag 0.000 0.500 0.750 (multiplicity 2)
Sn 0.000 0.000 0.376 (multiplicity 4)

Simulated powder XRD pattern
Compound: Ga5AgRu4
Radiation: CuKα
Structure: DFT lattice parameters and positions (GGA-PBE)
Intensities are scaled so that the largest is 100.

Peak list (6 most intense, 2θ = 10–90°, by angle)
index, 2θ (°), d [Å], I/Imax
1 1 0, 41.27, 2.188, 54
1 0 5, 41.67, 2.168, 100
2 0 0, 59.79, 1.547, 18
0 0 10, 61.00, 1.519, 7
2 1 5, 75.51, 1.259, 33
1 1 10, 76.33, 1.248, 13

Lattice parameters (Å, degrees): 3.094 3.094 15.189 90.00 90.00 90.00
Space group P4/mmm (No. 123)
Symmetry-distinct sites (fractional):
Ga 0.000 0.000 0.000 (multiplicity 1)
Ga 0.000 0.000 0.194 (multiplicity 2)
Ga 0.000 0.000 0.382 (multiplicity 2)
Ag 0.500 0.500 0.500 (multiplicity 1)
Ru 0.500 0.500 0.098 (multiplicity 2)
Ru 0.500 0.500 0.297 (multiplicity 2)

Simulated powder XRD pattern
Compound: Tb2Ga5AgRu2
Radiation: CuKα
Structure: DFT lattice parameters and positions (GGA-PBE)
Intensities are scaled so that the largest is 100.

Peak list (6 most intense, 2θ = 10–90°, by angle)
index, 2θ (°), d [Å], I/Imax
2 2 1, 34.46, 2.603, 35
3 1 1, 37.00, 2.429, 100
4 1 0, 38.78, 2.322, 51
3 2 1, 40.56, 2.224, 49
0 0 2, 44.51, 2.036, 33
4 1 2, 60.48, 1.531, 27

Lattice parameters (Å, degrees): 9.573 9.573 4.071 90.00 90.00 90.00
Space group P4/mbm (No. 127)
Symmetry-distinct sites (fractional):
Tb 0.182 0.318 0.000 (multiplicity 4)
Ga 0.000 0.500 0.500 (multiplicity 2)
Ga 0.061 0.791 0.500 (multiplicity 8)
Ag 0.000 0.000 0.000 (multiplicity 2)
Ru 0.114 0.614 0.000 (multiplicity 4)

Simulated powder XRD pattern
Compound: Ga2Ag5S5
Radiation: CuKα
Structure: DFT lattice parameters and positions (GGA-PBE)
Intensities are scaled so that the largest is 100.

Peak list (6 most intense, 2θ = 10–90°, by angle)
index, 2θ (°), d [Å], I/Imax
3 1 -1, 32.24, 2.776, 81
3 1 0, 32.88, 2.724, 29
2 0 -4, 33.92, 2.643, 45
2 0 3, 34.03, 2.635, 100
1 1 -4, 41.51, 2.176, 29
0 2 0, 48.22, 1.887, 32

Lattice parameters (Å, degrees): 12.351 3.775 10.684 90.00 107.05 90.00
Space group C2/m (No. 12)
Symmetry-distinct sites (fractional):
Ga 0.036 0.000 0.288 (multiplicity 4)
Ag 0.000 0.500 0.000 (multiplicity 2)
Ag 0.169 0.500 0.556 (multiplicity 4)
Ag 0.240 0.500 0.842 (multiplicity 4)
S 0.000 0.000 0.500 (multiplicity 2)
S 0.112 0.000 0.900 (multiplicity 4)
S 0.163 0.500 0.296 (multiplicity 4)